1.
This entry pairs a crystal structure of RbNa2ErF6 with its calculated X-ray powder pattern. Radiation: Cu Kα (weighted mean of Kα1 and Kα2). Structure: a GGA-PBE-relaxed structure.
Peak positions follow from Bragg's law for the DFT cell and can differ from measured ones.

Peak list (10 most intense, 10 to 90 degrees two-theta, most intense first)
2θ (°), I (rel.), hkl
20.1, 100, 0 1 2
27.8, 70, 1 0 4
29.5, 55, 1 1 0
44.9, 43, 2 -1 6
51.3, 30, 3 -1 4
17.8, 30, 1 0 1
40.9, 27, 0 2 4
36.0, 26, 2 0 2
52.3, 23, 3 0 0
47.2, 19, 3 -2 2

a b c (Å): 6.0608 6.0608 16.2403
angles (deg): 90.00 90.00 120.00
Space group R3 (No. 146, hexagonal axes)
Asymmetric unit:
Rb1 0.0000 0.0000 0.0000 (multiplicity 3)
Na1 0.0000 0.0000 0.2724 (multiplicity 3)
Na2 0.0000 0.0000 0.7841 (multiplicity 3)
Er1 0.0000 0.0000 0.4779 (multiplicity 3)
F1 0.0019 0.3208 0.5380 (multiplicity 9)
F2 0.0392 0.5966 0.0542 (multiplicity 9)

***

2.
This entry pairs a crystal structure of KAg4Hg3F12 with its calculated X-ray powder pattern. Radiation: Cu Kα (weighted mean of Kα1 and Kα2). Structure: a GGA-PBE-relaxed structure.
Peak positions follow from Bragg's law for the DFT cell and can differ from measured ones.

Peak list (10 most intense, 10 to 90 degrees two-theta, most intense first)
2θ (°), I (rel.), hkl
28.6, 100, 2 2 0
50.6, 51, 4 2 2
40.8, 24, 4 0 0
81.5, 22, 6 4 2
66.9, 19, 6 0 2
59.1, 14, 4 4 0
14.2, 13, 1 1 0
24.7, 9, 2 1 1
74.3, 5, 4 4 4
32.0, 4, 3 0 1

a b c (Å): 8.8405 8.8405 8.8405
angles (deg): 90.00 90.00 90.00
Space group Im-3 (No. 204)
Asymmetric unit:
K1 0.0000 0.0000 0.0000 (multiplicity 2)
Ag1 0.2500 0.2500 0.2500 (multiplicity 8)
Hg1 0.0000 0.0000 0.5000 (multiplicity 6)
F1 0.0000 0.1734 0.3131 (multiplicity 24)

***

3.
This entry pairs a crystal structure of Cs4HoTh3Te8 with its calculated X-ray powder pattern. Radiation: Cu Kα (weighted mean of Kα1 and Kα2). Structure: a GGA-PBE-relaxed structure.
Peak positions follow from Bragg's law for the DFT cell and can differ from measured ones.

Peak list (10 most intense, 10 to 90 degrees two-theta, most intense first)
2θ (°), I (rel.), hkl
26.2, 100, 0 2 4
34.8, 37, 2 0 8
39.8, 36, 2 2 0
48.3, 19, 4 0 4
64.3, 16, 2 4 4
57.4, 12, 2 2 12
32.4, 11, 0 2 7
53.9, 11, 0 4 8
69.1, 10, 4 2 8
43.1, 8, 2 0 11

a b c (Å): 9.0602 9.0602 27.3130
angles (deg): 90.00 90.00 120.00
Space group R-3m (No. 166, hexagonal axes)
Asymmetric unit:
Cs1 0.0000 0.0000 0.0000 (multiplicity 3)
Cs2 0.0000 0.5000 0.0000 (multiplicity 9)
Ho1 0.0000 0.0000 0.5000 (multiplicity 3)
Th1 0.0000 0.5000 0.5000 (multiplicity 9)
Te1 0.0000 0.0000 0.2339 (multiplicity 6)
Te2 0.0064 0.5032 0.2321 (multiplicity 18)

***

4.
This entry pairs a crystal structure of Tb2Sb5 with its calculated X-ray powder pattern. Radiation: Cu Kα (weighted mean of Kα1 and Kα2). Structure: a GGA-PBE-relaxed structure.
Peak positions follow from Bragg's law for the DFT cell and can differ from measured ones.

Peak list (10 most intense, 10 to 90 degrees two-theta, most intense first)
2θ (°), I (rel.), hkl
34.9, 100, 4 1 0
35.9, 88, 3 1 -4
34.4, 87, 1 1 4
29.9, 83, 1 1 3
29.6, 66, 3 1 0
42.8, 64, 0 2 0
36.5, 44, 1 0 -6
28.7, 35, 3 0 -4
27.0, 35, 1 0 4
33.1, 33, 2 1 3

a b c (Å): 13.2589 4.2290 14.7601
angles (deg): 90.00 102.04 90.00
Space group P2_1/m (No. 11)
Asymmetric unit:
Tb1 0.0474 0.2500 0.3620 (multiplicity 2)
Tb2 0.3310 0.2500 0.5776 (multiplicity 2)
Tb3 0.3377 0.2500 0.8554 (multiplicity 2)
Tb4 0.3932 0.7500 0.2294 (multiplicity 2)
Sb1 0.0307 0.2500 0.0966 (multiplicity 2)
Sb2 0.1385 0.2500 0.6774 (multiplicity 2)
Sb3 0.1412 0.7500 0.2218 (multiplicity 2)
Sb4 0.1436 0.7500 0.5187 (multiplicity 2)
Sb5 0.1521 0.7500 0.8272 (multiplicity 2)
Sb6 0.2797 0.2500 0.0623 (multiplicity 2)
Sb7 0.2861 0.2500 0.3487 (multiplicity 2)
Sb8 0.4198 0.7500 0.0246 (multiplicity 2)
Sb9 0.4245 0.7500 0.7346 (multiplicity 2)
Sb10 0.4251 0.7500 0.4485 (multiplicity 2)

***

Copy entry 1 word for word.
This entry pairs a crystal structure of RbNa2ErF6 with its calculated X-ray powder pattern. Radiation: Cu Kα (weighted mean of Kα1 and Kα2). Structure: a GGA-PBE-relaxed structure.
Peak positions follow from Bragg's law for the DFT cell and can differ from measured ones.

Peak list (10 most intense, 10 to 90 degrees two-theta, most intense first)
2θ (°), I (rel.), hkl
20.1, 100, 0 1 2
27.8, 70, 1 0 4
29.5, 55, 1 1 0
44.9, 43, 2 -1 6
51.3, 30, 3 -1 4
17.8, 30, 1 0 1
40.9, 27, 0 2 4
36.0, 26, 2 0 2
52.3, 23, 3 0 0
47.2, 19, 3 -2 2

a b c (Å): 6.0608 6.0608 16.2403
angles (deg): 90.00 90.00 120.00
Space group R3 (No. 146, hexagonal axes)
Asymmetric unit:
Rb1 0.0000 0.0000 0.0000 (multiplicity 3)
Na1 0.0000 0.0000 0.2724 (multiplicity 3)
Na2 0.0000 0.0000 0.7841 (multiplicity 3)
Er1 0.0000 0.0000 0.4779 (multiplicity 3)
F1 0.0019 0.3208 0.5380 (multiplicity 9)
F2 0.0392 0.5966 0.0542 (multiplicity 9)